# YHoRh2
Calculated X-ray diffraction stick pattern, Cu Kα, 1.54184 Å. Input: a cell relaxed with PBE.
Lines closer than 0.1° are merged.

Main lines, by angle (2θ = 5–70°):
- 2θ = 22.60°, 3.934 Å, intensity 55
- 2θ = 26.15°, 3.407 Å, intensity 10
- 2θ = 37.32°, 2.409 Å, intensity 1000
- 2θ = 44.07°, 2.055 Å, intensity 31
- 2θ = 53.81°, 1.704 Å, intensity 172
- 2θ = 59.09°, 1.563 Å, intensity 14
- 2θ = 67.31°, 1.391 Å, intensity 346

```
YHoRh2
1.0
0.000 3.407 3.407
3.407 0.000 3.407
3.407 3.407 0.000
Y Ho Rh
1 1 2
direct
0.000 0.000 0.000
0.500 0.500 0.500
0.250 0.250 0.250
0.750 0.750 0.750
```

---

# TbCeO4
Calculated X-ray diffraction stick pattern, Cu Kα, 1.54184 Å. Input: a cell relaxed with PBE.
Lines closer than 0.1° are merged.

Main lines, by angle (2θ = 5–70°):
- 2θ = 28.24°, 3.160 Å, intensity 1000
- 2θ = 32.72°, 2.737 Å, intensity 303
- 2θ = 46.95°, 1.935 Å, intensity 539
- 2θ = 55.70°, 1.650 Å, intensity 450
- 2θ = 58.40°, 1.580 Å, intensity 87
- 2θ = 68.58°, 1.368 Å, intensity 81

```
TbCeO4
1.0
0.000 5.474 5.474
5.474 0.000 5.474
5.474 5.474 0.000
Tb Ce O
4 4 16
direct
0.376 0.376 0.376
0.376 0.376 0.871
0.376 0.871 0.376
0.871 0.376 0.376
0.376 0.875 0.875
0.875 0.376 0.875
0.875 0.875 0.376
0.875 0.875 0.875
0.000 0.000 0.000
0.000 0.000 0.500
0.000 0.500 0.000
0.000 0.500 0.500
0.244 0.244 0.756
0.244 0.756 0.244
0.244 0.756 0.756
0.250 0.250 0.250
0.500 0.000 0.000
0.500 0.000 0.500
0.500 0.500 0.000
0.500 0.500 0.500
0.750 0.750 0.750
0.756 0.244 0.244
0.756 0.244 0.756
0.756 0.756 0.244
```

---

# Er5Co2Te2
Calculated X-ray diffraction stick pattern, Cu Kα, 1.54184 Å. Input: a cell relaxed with PBE.
Lines closer than 0.1° are merged.

Main lines, by angle (2θ = 5–70°):
- 2θ = 29.04°, 3.075 Å, intensity 395
- 2θ = 29.66°, 3.012 Å, intensity 1000
- 2θ = 33.71°, 2.659 Å, intensity 783
- 2θ = 33.94°, 2.642 Å, intensity 857
- 2θ = 34.26°, 2.617 Å, intensity 395
- 2θ = 37.90°, 2.374 Å, intensity 301
- 2θ = 38.38°, 2.346 Å, intensity 459
- 2θ = 46.45°, 1.955 Å, intensity 360
- 2θ = 58.11°, 1.587 Å, intensity 311
- 2θ = 58.75°, 1.572 Å, intensity 354

```
Er5Co2Te2
1.0
1.955 -7.469 0.000
1.955 7.469 0.000
0.000 0.000 14.949
Er Co Te
10 4 4
direct
0.038 0.962 0.627
0.038 0.962 0.873
0.259 0.741 0.131
0.259 0.741 0.369
0.393 0.607 0.750
0.607 0.393 0.250
0.741 0.259 0.631
0.741 0.259 0.869
0.962 0.038 0.127
0.962 0.038 0.373
0.180 0.820 0.750
0.412 0.588 0.250
0.588 0.412 0.750
0.820 0.180 0.250
0.382 0.618 0.538
0.382 0.618 0.962
0.618 0.382 0.038
0.618 0.382 0.462
```

---

# Cs2MgH4
Calculated X-ray diffraction stick pattern, Cu Kα, 1.54184 Å. Input: a cell relaxed with PBE.
Lines closer than 0.1° are merged.

Main lines, by angle (2θ = 5–70°):
- 2θ = 21.39°, 4.154 Å, intensity 454
- 2θ = 23.77°, 3.743 Å, intensity 211
- 2θ = 27.29°, 3.268 Å, intensity 1000
- 2θ = 29.21°, 3.057 Å, intensity 501
- 2θ = 38.00°, 2.368 Å, intensity 258
- 2θ = 41.78°, 2.162 Å, intensity 192
- 2θ = 47.42°, 1.917 Å, intensity 278
- 2θ = 48.64°, 1.872 Å, intensity 141
- 2θ = 50.63°, 1.803 Å, intensity 356
- 2θ = 65.02°, 1.434 Å, intensity 155

```
Cs2MgH4
1.0
-2.162 2.162 7.486
2.162 -2.162 7.486
2.162 2.162 -7.486
Cs Mg H
2 1 4
direct
0.145 0.145 0.000
0.855 0.855 0.000
0.500 0.500 0.000
0.000 0.500 0.500
0.369 0.369 0.000
0.500 0.000 0.500
0.631 0.631 0.000
```

---

# Nd9Ni26P12
Calculated X-ray diffraction stick pattern, Cu Kα, 1.54184 Å. Input: a cell relaxed with PBE.
Lines closer than 0.1° are merged.

Main lines, by angle (2θ = 5–70°):
- 2θ = 28.67°, 3.114 Å, intensity 87
- 2θ = 34.82°, 2.577 Å, intensity 242
- 2θ = 37.06°, 2.426 Å, intensity 1000
- 2θ = 37.52°, 2.397 Å, intensity 106
- 2θ = 40.57°, 2.224 Å, intensity 159
- 2θ = 44.24°, 2.047 Å, intensity 223
- 2θ = 46.97°, 1.934 Å, intensity 255
- 2θ = 50.79°, 1.798 Å, intensity 142
- 2θ = 56.97°, 1.616 Å, intensity 195
- 2θ = 66.50°, 1.406 Å, intensity 127

```
Nd9Ni26P12
1.0
14.381 0.000 0.000
-7.190 12.454 0.000
0.000 0.000 3.869
Nd Ni P
9 26 12
direct
0.182 0.091 0.000
0.241 0.482 0.500
0.241 0.759 0.500
0.518 0.759 0.500
0.524 0.049 0.500
0.524 0.476 0.500
0.909 0.091 0.000
0.909 0.818 0.000
0.951 0.476 0.500
0.000 0.000 0.500
0.006 0.287 0.500
0.006 0.719 0.500
0.138 0.569 0.000
0.142 0.285 0.000
0.142 0.858 0.000
0.281 0.287 0.500
0.281 0.994 0.500
0.333 0.667 0.000
0.410 0.121 0.000
0.410 0.289 0.000
0.431 0.569 0.000
0.431 0.862 0.000
0.533 0.266 0.500
0.611 0.223 0.000
0.611 0.389 0.000
0.711 0.121 0.000
0.711 0.590 0.000
0.713 0.719 0.500
0.713 0.994 0.500
0.715 0.858 0.000
0.734 0.266 0.500
0.734 0.467 0.500
0.777 0.389 0.000
0.879 0.289 0.000
0.879 0.590 0.000
0.058 0.388 0.000
0.058 0.670 0.000
0.092 0.185 0.500
0.092 0.908 0.500
0.330 0.388 0.000
0.330 0.942 0.000
0.361 0.180 0.500
0.612 0.670 0.000
0.612 0.942 0.000
0.815 0.908 0.500
0.820 0.180 0.500
0.820 0.639 0.500
```

---

# BaMg14Cu
Calculated X-ray diffraction stick pattern, Cu Kα, 1.54184 Å. Input: a cell relaxed with PBE.
Lines closer than 0.1° are merged.

Main lines, by angle (2θ = 5–70°):
- 2θ = 15.59°, 5.685 Å, intensity 364
- 2θ = 23.12°, 3.847 Å, intensity 295
- 2θ = 31.47°, 2.842 Å, intensity 292
- 2θ = 34.32°, 2.613 Å, intensity 227
- 2θ = 35.97°, 2.497 Å, intensity 1000
- 2θ = 47.25°, 1.924 Å, intensity 181
- 2θ = 56.04°, 1.641 Å, intensity 176
- 2θ = 62.54°, 1.485 Å, intensity 169
- 2θ = 67.38°, 1.390 Å, intensity 176
- 2θ = 68.41°, 1.371 Å, intensity 140

```
BaMg14Cu
1.0
6.564 0.000 0.000
-3.282 5.685 0.000
0.000 0.000 10.453
Ba Mg Cu
1 14 1
direct
0.000 0.000 0.000
0.014 0.507 0.000
0.166 0.332 0.275
0.166 0.332 0.725
0.166 0.834 0.275
0.166 0.834 0.725
0.493 0.507 0.000
0.493 0.986 0.000
0.505 0.009 0.500
0.505 0.495 0.500
0.667 0.333 0.243
0.667 0.333 0.757
0.668 0.834 0.275
0.668 0.834 0.725
0.991 0.495 0.500
0.000 0.000 0.500
```

---

# CsKMg14O15
Calculated X-ray diffraction stick pattern, Cu Kα, 1.54184 Å. Input: a cell relaxed with PBE.
Lines closer than 0.1° are merged.

Main lines, by angle (2θ = 5–70°):
- 2θ = 8.85°, 9.990 Å, intensity 433
- 2θ = 25.22°, 3.531 Å, intensity 242
- 2θ = 29.66°, 3.012 Å, intensity 224
- 2θ = 34.91°, 2.570 Å, intensity 1000
- 2θ = 35.96°, 2.497 Å, intensity 626
- 2θ = 39.27°, 2.294 Å, intensity 255
- 2θ = 42.36°, 2.134 Å, intensity 754
- 2θ = 42.98°, 2.104 Å, intensity 708
- 2θ = 61.93°, 1.498 Å, intensity 370
- 2θ = 65.31°, 1.429 Å, intensity 235

```
CsKMg14O15
1.0
4.209 0.000 0.000
0.000 8.536 0.000
0.000 0.000 9.990
Cs K Mg O
1 1 14 15
direct
0.000 0.000 0.000
0.000 0.500 0.437
0.000 0.000 0.428
0.000 0.245 0.676
0.000 0.286 0.164
0.000 0.500 0.893
0.000 0.714 0.164
0.000 0.755 0.676
0.500 0.000 0.206
0.500 0.000 0.645
0.500 0.242 0.899
0.500 0.257 0.397
0.500 0.500 0.121
0.500 0.500 0.685
0.500 0.743 0.397
0.500 0.758 0.899
0.000 0.000 0.624
0.000 0.212 0.348
0.000 0.265 0.877
0.000 0.500 0.104
0.000 0.500 0.682
0.000 0.735 0.877
0.000 0.788 0.348
0.500 0.000 0.401
0.500 0.000 0.845
0.500 0.222 0.123
0.500 0.265 0.615
0.500 0.500 0.323
0.500 0.500 0.899
0.500 0.735 0.615
0.500 0.778 0.123
```

---

# LaMgRh
Calculated X-ray diffraction stick pattern, Cu Kα, 1.54184 Å. Input: a cell relaxed with PBE.
Lines closer than 0.1° are merged.

Main lines, by angle (2θ = 5–70°):
- 2θ = 25.60°, 3.479 Å, intensity 213
- 2θ = 31.63°, 2.828 Å, intensity 335
- 2θ = 32.06°, 2.791 Å, intensity 799
- 2θ = 33.77°, 2.654 Å, intensity 692
- 2θ = 35.44°, 2.533 Å, intensity 1000
- 2θ = 35.78°, 2.509 Å, intensity 324
- 2θ = 41.40°, 2.181 Å, intensity 472
- 2θ = 42.38°, 2.133 Å, intensity 209
- 2θ = 42.85°, 2.110 Å, intensity 475
- 2θ = 65.29°, 1.429 Å, intensity 270

```
LaMgRh
1.0
7.621 0.000 0.000
0.000 4.221 0.000
0.000 0.000 17.064
La Mg Rh
8 8 8
direct
0.044 0.250 0.218
0.163 0.250 0.438
0.337 0.750 0.938
0.456 0.750 0.718
0.544 0.250 0.282
0.663 0.250 0.062
0.837 0.750 0.562
0.956 0.750 0.782
0.003 0.750 0.063
0.133 0.250 0.649
0.367 0.750 0.149
0.497 0.250 0.563
0.503 0.750 0.437
0.633 0.250 0.851
0.867 0.750 0.351
0.997 0.250 0.937
0.245 0.250 0.062
0.246 0.750 0.313
0.254 0.250 0.813
0.255 0.750 0.562
0.745 0.250 0.438
0.746 0.750 0.187
0.754 0.250 0.687
0.755 0.750 0.938
```